The following is a computed powder diffraction line list of PrMnGeO5. It was derived from a crystal structure in the Materials Project, relaxed with GGA+U, using Cu Kα X-rays.

Cell and atoms:
```
data_PrMnGeO5
_cell_length_a 5.7269
_cell_length_b 5.7975
_cell_length_c 7.0471
_cell_angle_alpha 106.29
_cell_angle_beta 99.32
_cell_angle_gamma 107.21
_symmetry_space_group_name_H-M 'P -1'
_symmetry_Int_Tables_number 2
_symmetry_space_group_name_Hall '-P 1'
loop_
_atom_site_label
_atom_site_type_symbol
_atom_site_fract_x
_atom_site_fract_y
_atom_site_fract_z
Pr1 Pr 0.1498 0.3116 0.2794
Mn1 Mn 0.5000 0.0000 0.0000
Mn2 Mn 0.5000 0.0000 0.5000
Ge1 Ge 0.1961 0.3362 0.7665
O1 O 0.0763 0.7413 0.4397
O2 O 0.1757 0.1310 0.9101
O3 O 0.2293 0.6480 0.9236
O4 O 0.4348 0.0860 0.2619
O5 O 0.4378 0.3310 0.6337
```

Most intense lines, 10 to 80 degrees two-theta, low angle first:
- hkl 0 0 2, 27.36°, I 174
- hkl 1 1 0, 28.12°, I 1000
- hkl 1 1 -2, 31.15°, I 148
- hkl 2 -1 0, 32.07°, I 381
- hkl 1 -1 2, 32.38°, I 310
- hkl 1 -2 0, 32.50°, I 376
- hkl 0 2 -2, 35.95°, I 125
- hkl 2 1 -2, 42.85°, I 134
- hkl 2 0 2, 50.02°, I 178
- hkl 3 0 0, 52.07°, I 260